(1)
Diffraction record for Bi3Pb5N2. The powder diffraction line list is calculated, not measured: it uses a DFT-relaxed cell (PBE, Alexandria) and CuKα.
Peak positions follow from Bragg's law for the DFT cell and can differ from measured ones.

Structure:
```
data_Bi3Pb5N2
_chemical_formula_sum 'Bi12 Pb20 N8'
_space_group_name_H-M_alt 'C 1 2/c 1'
_space_group_IT_number 15
_cell_length_a 6.7885
_cell_length_b 27.0141
_cell_length_c 6.5750
_cell_angle_alpha 90.00
_cell_angle_beta 103.51
_cell_angle_gamma 90.00
loop_
_space_group_symop_operation_xyz
'x,y,z'
'-x,-y,-z'
'-x,y,-z+1/2'
'x,-y,z+1/2'
'x+1/2,y+1/2,z'
'-x+1/2,-y+1/2,-z'
'-x+1/2,y+1/2,-z+1/2'
'x+1/2,-y+1/2,z+1/2'
loop_
_atom_site_label
_atom_site_type_symbol
_atom_site_fract_x
_atom_site_fract_y
_atom_site_fract_z
Bi1 Bi 0.0000 0.2312 0.2500
Bi2 Bi 0.1630 0.1013 0.9737
Pb1 Pb 0.0000 0.2229 0.7500
Pb2 Pb 0.0840 0.3321 0.5274
Pb3 Pb 0.1998 0.4585 0.4851
N1 N 0.1606 0.4617 0.1135
```

Largest 10 diffraction maxima, in order of falling intensity, 10° ≤ 2θ ≤ 90°:
2θ/deg  I (rel.)
27.85  100
28.71  100
32.78  67
31.72  62
28.17  53
34.01  39
30.95  31
26.76  29
37.87  26
39.78  25

(2)
Diffraction record for SnSb4O12. The powder diffraction line list is calculated, not measured: it uses a DFT-relaxed cell (PBE, Alexandria) and CuKα.
Peak positions follow from Bragg's law for the DFT cell and can differ from measured ones.

Structure:
```
data_SnSb4O12
_chemical_formula_sum 'Sn2 Sb8 O24'
_space_group_name_H-M_alt 'I m m m'
_space_group_IT_number 71
_space_group_name_Hall '-I 2 2'
_cell_length_a 7.4164
_cell_length_b 7.7971
_cell_length_c 7.8192
_cell_angle_alpha 90.00
_cell_angle_beta 90.00
_cell_angle_gamma 90.00
loop_
_atom_site_label
_atom_site_type_symbol
_atom_site_fract_x
_atom_site_fract_y
_atom_site_fract_z
Sn1 Sn 0.0000 0.0000 0.0000
Sb1 Sb 0.2500 0.2500 0.2500
O1 O 0.0000 0.3085 0.3068
O2 O 0.1765 0.0000 0.2379
O3 O 0.1775 0.2328 0.0000
```

Largest 10 diffraction maxima, in order of falling intensity, 10° ≤ 2θ ≤ 90°:
2θ/deg  I (rel.)
33.32  100
22.78  75
58.42  47
32.43  45
16.49  31
24.00  27
60.11  26
16.05  20
46.45  17
46.59  17

(3)
Diffraction record for Na5CdHg6. The powder diffraction line list is calculated, not measured: it uses a DFT-relaxed cell (PBE, Alexandria) and CuKα.
Peak positions follow from Bragg's law for the DFT cell and can differ from measured ones.

Structure:
```
data_Na5CdHg6
_chemical_formula_sum 'Na10 Cd2 Hg12'
_space_group_name_H-M_alt 'I m m m'
_space_group_IT_number 71
_space_group_name_Hall '-I 2 2'
_cell_length_a 5.2671
_cell_length_b 7.3772
_cell_length_c 15.7110
_cell_angle_alpha 90.00
_cell_angle_beta 90.00
_cell_angle_gamma 90.00
loop_
_atom_site_label
_atom_site_type_symbol
_atom_site_fract_x
_atom_site_fract_y
_atom_site_fract_z
Na1 Na 0.0000 0.0000 0.0000
Na2 Na 0.0000 0.0000 0.3308
Na3 Na 0.0000 0.5000 0.3363
Cd1 Cd 0.0000 0.5000 0.0000
Hg1 Hg 0.0000 0.2407 0.5000
Hg2 Hg 0.0000 0.2573 0.1670
```

Largest 10 diffraction maxima, in order of falling intensity, 10° ≤ 2θ ≤ 90°:
2θ/deg  I (rel.)
34.26  100
23.96  44
61.34  22
24.13  21
34.04  20
61.07  15
49.06  15
55.41  14
42.16  11
72.18  11

(4)
Diffraction record for PrErTm2As4. The powder diffraction line list is calculated, not measured: it uses a DFT-relaxed cell (PBE, Alexandria) and CuKα.
Peak positions follow from Bragg's law for the DFT cell and can differ from measured ones.

Structure:
```
data_PrErTm2As4
_chemical_formula_sum 'Pr1 Er1 Tm2 As4'
_space_group_name_H-M_alt 'P 1 2/m 1'
_space_group_IT_number 10
_cell_length_a 7.1541
_cell_length_b 4.1351
_cell_length_c 7.1559
_cell_angle_alpha 90.00
_cell_angle_beta 109.48
_cell_angle_gamma 90.00
loop_
_space_group_symop_operation_xyz
'x,y,z'
'-x,-y,-z'
'-x,y,-z'
'x,-y,z'
loop_
_atom_site_label
_atom_site_type_symbol
_atom_site_fract_x
_atom_site_fract_y
_atom_site_fract_z
Pr1 Pr 0.0000 0.0000 0.0000
Er1 Er 0.0000 0.5000 0.5000
Tm1 Tm 0.5000 0.0000 0.5000
Tm2 Tm 0.5000 0.5000 0.0000
As1 As 0.2559 0.0000 0.7459
As2 As 0.2605 0.5000 0.2598
```

Largest 10 diffraction maxima, in order of falling intensity, 10° ≤ 2θ ≤ 90°:
2θ/deg  I (rel.)
30.60  100
43.82  75
72.31  33
54.38  26
80.52  25
26.42  23
63.70  12
51.89  12
70.20  5
86.55  4

(5)
Diffraction record for Tb3ErSn3. The powder diffraction line list is calculated, not measured: it uses a DFT-relaxed cell (PBE, Alexandria) and CuKα.
Peak positions follow from Bragg's law for the DFT cell and can differ from measured ones.

Structure:
```
data_Tb3ErSn3
_chemical_formula_sum 'Tb6 Er2 Sn6'
_space_group_name_H-M_alt 'P 63/m'
_space_group_IT_number 176
_space_group_name_Hall '-P 6c'
_cell_length_a 9.3849
_cell_length_b 9.3849
_cell_length_c 6.0921
_cell_angle_alpha 90.00
_cell_angle_beta 90.00
_cell_angle_gamma 120.00
loop_
_atom_site_label
_atom_site_type_symbol
_atom_site_fract_x
_atom_site_fract_y
_atom_site_fract_z
Tb1 Tb 0.0190 0.3204 0.2500
Er1 Er 0.3333 0.6667 0.7500
Sn1 Sn 0.0009 0.6493 0.2500
```

Largest 10 diffraction maxima, in order of falling intensity, 10° ≤ 2θ ≤ 90°:
2θ/deg  I (rel.)
33.06  100
44.77  87
29.32  51
18.91  26
71.00  23
67.29  21
32.65  21
26.36  17
59.06  15
18.20  13

(6)
Diffraction record for BiPS4. The powder diffraction line list is calculated, not measured: it uses a DFT-relaxed cell (PBE, Alexandria) and CuKα.
Peak positions follow from Bragg's law for the DFT cell and can differ from measured ones.

Structure:
```
data_BiPS4
_chemical_formula_sum 'Bi16 P16 S64'
_space_group_name_H-M_alt 'I b c a'
_space_group_IT_number 73
_space_group_name_Hall '-I 2b 2c'
_cell_length_a 10.7987
_cell_length_b 11.3161
_cell_length_c 19.8267
_cell_angle_alpha 90.00
_cell_angle_beta 90.00
_cell_angle_gamma 90.00
loop_
_atom_site_label
_atom_site_type_symbol
_atom_site_fract_x
_atom_site_fract_y
_atom_site_fract_z
Bi1 Bi 0.0000 0.2500 0.1091
Bi2 Bi 0.0000 0.2500 0.3518
P1 P 0.0302 0.0000 0.2500
P2 P 0.2500 0.2133 0.0000
S1 S 0.0735 0.0113 0.8362
S2 S 0.0928 0.1113 0.0073
S3 S 0.1360 0.1524 0.2457
S4 S 0.2467 0.1831 0.4147
```

Largest 10 diffraction maxima, in order of falling intensity, 10° ≤ 2θ ≤ 90°:
2θ/deg  I (rel.)
15.66  100
29.10  94
16.42  91
23.87  56
21.23  51
24.38  51
41.29  40
40.33  39
31.67  39
22.76  37

(7)
Diffraction record for V2Fe7Ge2Ir. The powder diffraction line list is calculated, not measured: it uses a DFT-relaxed cell (PBE, Alexandria) and CuKα.
Peak positions follow from Bragg's law for the DFT cell and can differ from measured ones.

Structure:
```
data_V2Fe7Ge2Ir
_chemical_formula_sum 'V4 Fe14 Ge4 Ir2'
_space_group_name_H-M_alt 'C m m m'
_space_group_IT_number 65
_space_group_name_Hall '-C 2 2'
_cell_length_a 5.0854
_cell_length_b 5.1083
_cell_length_c 11.7489
_cell_angle_alpha 90.00
_cell_angle_beta 90.00
_cell_angle_gamma 90.00
loop_
_atom_site_label
_atom_site_type_symbol
_atom_site_fract_x
_atom_site_fract_y
_atom_site_fract_z
V1 V 0.0000 0.0000 0.1775
Fe1 Fe 0.0000 0.0000 0.5000
Fe2 Fe 0.0000 0.2606 0.0000
Fe3 Fe 0.2500 0.2500 0.3434
Ge1 Ge 0.0000 0.5000 0.1934
Ir1 Ir 0.0000 0.5000 0.5000
```

Largest 10 diffraction maxima, in order of falling intensity, 10° ≤ 2θ ≤ 90°:
2θ/deg  I (rel.)
42.24  100
42.38  51
50.66  32
46.37  32
47.28  29
51.29  26
89.72  21
24.70  21
77.76  19
35.30  18

(8)
Diffraction record for Ho4Pt. The powder diffraction line list is calculated, not measured: it uses a DFT-relaxed cell (PBE, Alexandria) and CuKα.
Peak positions follow from Bragg's law for the DFT cell and can differ from measured ones.

Structure:
```
data_Ho4Pt
_chemical_formula_sum 'Ho16 Pt4'
_space_group_name_H-M_alt 'C 1 c 1'
_space_group_IT_number 9
_cell_length_a 7.6653
_cell_length_b 12.3565
_cell_length_c 7.2543
_cell_angle_alpha 90.00
_cell_angle_beta 121.66
_cell_angle_gamma 90.00
loop_
_space_group_symop_operation_xyz
'x,y,z'
'x,-y,z+1/2'
'x+1/2,y+1/2,z'
'x+1/2,-y+1/2,z+1/2'
loop_
_atom_site_label
_atom_site_type_symbol
_atom_site_fract_x
_atom_site_fract_y
_atom_site_fract_z
Ho1 Ho 0.0000 0.0056 0.0000
Ho2 Ho 0.0135 0.4543 0.8958
Ho3 Ho 0.1590 0.2446 0.3172
Ho4 Ho 0.2749 0.2042 0.9176
Pt1 Pt 0.2371 0.3756 0.6581
```

Largest 10 diffraction maxima, in order of falling intensity, 10° ≤ 2θ ≤ 90°:
2θ/deg  I (rel.)
31.04  100
32.91  68
38.99  52
36.64  42
40.22  28
20.33  26
32.41  24
15.38  21
53.80  21
41.35  19